Record 1
The following is a computed X-ray diffraction stick pattern of AcNd8Dy3. It was derived from a DFT-relaxed cell (PBE, Alexandria), using CuKα.
Peak positions follow from Bragg's law for the DFT cell and can differ from measured ones.

Structural model:
Cell: 15.6501 9.0271 6.5532 Å, 90.00 114.00 90.00°
Space group C2 (No. 5)
Inequivalent atoms, fractional coordinates:
Ac1 0.0000 0.0000 0.0000 x2
Nd1 0.0681 0.3334 0.3124 x4
Nd2 0.1319 0.9658 0.6363 x4
Nd3 0.1745 0.3228 0.9072 x4
Nd4 0.2459 0.5936 0.6542 x4
Dy1 0.0000 0.6454 0.5000 x2
Dy2 0.1257 0.6640 0.0923 x4

Principal peaks in the range 5 to 70 degrees two-theta, sorted by position:
2θ 24.77, rel. 9, (2 2 -1); 2θ 29.60, rel. 30, (1 1 -2); 2θ 29.76, rel. 19, (3 1 -2); 2θ 30.00, rel. 44, (3 1 1); 2θ 30.34, rel. 100, (5 1 -1); 2θ 30.61, rel. 28, (4 2 -1); 2θ 33.81, rel. 27, (2 2 -2); 2θ 39.62, rel. 8, (4 2 1); 2θ 55.29, rel. 8, (8 2 0); 2θ 59.09, rel. 8, (5 5 -1)

Record 2
The following is a computed X-ray diffraction stick pattern of AcNd8Dy2. It was derived from a DFT-relaxed cell (PBE, Alexandria), using CuKα.
Peak positions follow from Bragg's law for the DFT cell and can differ from measured ones.

Structural model:
Cell: 5.6607 8.5766 16.2558 Å, 90.00 90.00 90.00°
Space group Immm (No. 71)
Inequivalent atoms, fractional coordinates:
Ac1 0.0000 0.0000 0.0000 x2
Nd1 0.0000 0.2022 0.5000 x4
Nd2 0.0000 0.2978 0.1451 x8
Nd3 0.0000 0.5000 0.3395 x4
Dy1 0.0000 0.0000 0.2996 x4

Principal peaks in the range 5 to 70 degrees two-theta, sorted by position:
2θ 28.98, rel. 31, (1 1 4); 2θ 30.93, rel. 100, (1 2 3); 2θ 31.61, rel. 33, (2 0 0); 2θ 31.77, rel. 21, (0 3 1); 2θ 33.06, rel. 17, (0 0 6); 2θ 42.11, rel. 10, (0 4 0); 2θ 46.39, rel. 13, (2 0 6); 2θ 50.64, rel. 11, (0 3 7); 2θ 55.87, rel. 19, (3 2 3); 2θ 60.90, rel. 26, (2 3 7)

Record 3
The following is a computed X-ray diffraction stick pattern of Ac4NdDy2. It was derived from a DFT-relaxed cell (PBE, Alexandria), using CuKα.
Peak positions follow from Bragg's law for the DFT cell and can differ from measured ones.

Structural model:
Cell: 6.8090 12.7168 13.2299 Å, 90.00 104.69 90.00°
Space group Cc (No. 9)
Inequivalent atoms, fractional coordinates:
Ac1 0.0000 0.0826 0.0000 x4
Ac2 0.0570 0.3586 0.6484 x4
Ac3 0.3546 0.1436 0.5705 x4
Ac4 0.4118 0.4145 0.2200 x4
Nd1 0.4558 0.0611 0.8594 x4
Dy1 0.1513 0.1811 0.2918 x4
Dy2 0.2585 0.3174 0.9273 x4

Principal peaks in the range 5 to 70 degrees two-theta, sorted by position:
2θ 28.07, rel. 14, (0 4 0); 2θ 28.59, rel. 100, (1 1 -4); 2θ 28.94, rel. 31, (0 4 1); 2θ 29.77, rel. 63, (2 2 -1); 2θ 30.36, rel. 29, (1 3 -3); 2θ 30.60, rel. 20, (2 2 -2); 2θ 34.94, rel. 23, (1 3 3); 2θ 35.02, rel. 14, (1 3 -4); 2θ 52.04, rel. 20, (0 2 7); 2θ 56.35, rel. 12, (3 3 -6)